The following is a simulated powder diffraction line list of UPaPb. It was derived from a PBE-relaxed structure, using Cu Ka.

Atomic structure:
```
UPaPb
1.0
-2.692 3.152 4.328
2.692 -3.152 4.328
2.692 3.152 -4.328
U Pa Pb
2 2 2
Direct
0.144 0.144 0.000
0.856 0.856 0.000
0.339 0.839 0.500
0.661 0.161 0.500
0.253 0.500 0.753
0.747 0.500 0.247
```

Peak list (10 most intense, 2θ = 10–90°, sorted by position)
two_theta	I_rel
33.28	48
34.56	86
35.27	100
49.24	19
51.20	20
60.29	18
60.77	16
62.45	23
69.06	12
70.27	22